Entry 1:
This entry pairs a crystal structure of PrY6Ho4 with its calculated X-ray powder pattern. Radiation: CuKα. Structure: DFT lattice parameters and positions (GGA-PBE).

Atomic structure:
Cell lengths 5.699, 9.722, 25.800 Å; angles 90.00, 90.00, 90.00 degrees
Space group Cmcm (No. 63)
Unique sites:
Pr: 0.000 0.177 0.250
Y: 0.000 0.154 0.680
Y: 0.000 0.179 0.101
Y: 0.000 0.489 0.750
Y: 0.000 0.500 0.000
Ho: 0.000 0.162 0.542
Ho: 0.000 0.485 0.621

The 10 most intense peaks (2θ = 10–90°), sorted by position:
| two_theta | d/Å | Rel. int. |
| --- | --- | --- |
| 30.3 | 2.949 | 60 |
| 30.4 | 2.937 | 38 |
| 31.4 | 2.850 | 54 |
| 31.8 | 2.817 | 100 |
| 33.2 | 2.697 | 36 |
| 33.3 | 2.687 | 13 |
| 44.3 | 2.045 | 27 |
| 55.8 | 1.646 | 16 |
| 56.1 | 1.639 | 20 |
| 60.0 | 1.542 | 14 |

Entry 2:
This entry pairs a crystal structure of LaZrBe17 with its calculated X-ray powder pattern. Radiation: CuKα. Structure: DFT lattice parameters and positions (GGA-PBE).

Atomic structure:
Cell lengths 7.7291, 7.7291, 11.3027 Å; angles 90.00, 90.00, 120.00 degrees
Space group R3m (No. 160, hexagonal axes)
Unique sites:
La: 0.0000 0.0000 0.0000
Zr: 0.0000 0.0000 0.6749
Be: 0.0000 0.0000 0.2481
Be: 0.0000 0.0000 0.4373
Be: 0.0026 0.2795 0.3393
Be: 0.0074 0.5037 0.1765
Be: 0.1669 0.3338 0.8325
Be: 0.1697 0.3395 0.1760

The 10 most intense peaks (2θ = 10–90°), sorted by position:
| two_theta | d/Å | Rel. int. |
| --- | --- | --- |
| 15.4 | 5.759 | 63 |
| 20.6 | 4.318 | 30 |
| 23.0 | 3.865 | 100 |
| 23.6 | 3.768 | 32 |
| 33.2 | 2.698 | 97 |
| 40.4 | 2.231 | 33 |
| 47.0 | 1.932 | 27 |
| 47.4 | 1.920 | 48 |
| 48.3 | 1.884 | 25 |
| 69.0 | 1.362 | 32 |

Entry 3:
This entry pairs a crystal structure of PmNd2Dy4Th with its calculated X-ray powder pattern. Radiation: CuKα. Structure: DFT lattice parameters and positions (GGA-PBE).

Atomic structure:
Cell lengths 5.107, 5.125, 10.039 Å; angles 90.00, 90.04, 90.00 degrees
Space group P2/m (No. 10)
Unique sites:
Pm: 0.000 0.000 0.000
Nd: 0.000 0.000 0.500
Nd: 0.500 0.500 0.000
Dy: 0.000 0.500 0.255
Dy: 0.500 0.000 0.255
Th: 0.500 0.500 0.500

The 10 most intense peaks (2θ = 10–90°), sorted by position:
| two_theta | d/Å | Rel. int. |
| --- | --- | --- |
| 30.5 | 2.935 | 100 |
| 35.0 | 2.562 | 17 |
| 35.1 | 2.554 | 17 |
| 35.8 | 2.510 | 16 |
| 50.5 | 1.809 | 12 |
| 51.0 | 1.792 | 18 |
| 60.0 | 1.542 | 15 |
| 60.2 | 1.538 | 15 |
| 61.0 | 1.519 | 14 |
| 63.4 | 1.467 | 12 |